Structure and simulated X-ray powder pattern of Er5Ge10Ir4 (a crystal structure in the Materials Project, relaxed with GGA-PBE; a wavelength of 1.5418 Å).
No peak broadening, texture or thermal motion is included.

Largest 12 diffraction maxima, sorted by position, 2θ from 15° to 90°:
4.601 Å, rel. 21, hkl 2 2 0
2.772 Å, rel. 28, hkl 3 2 1
2.600 Å, rel. 100, hkl 4 0 1
2.551 Å, rel. 61, hkl 5 1 0
2.502 Å, rel. 71, hkl 3 3 1
2.300 Å, rel. 20, hkl 4 4 0
2.164 Å, rel. 55, hkl 0 0 2
2.139 Å, rel. 23, hkl 6 1 0
2.057 Å, rel. 22, hkl 6 2 0
2.032 Å, rel. 32, hkl 5 4 0
1.651 Å, rel. 26, hkl 7 2 1
1.379 Å, rel. 24, hkl 8 4 1

Atomic structure:
```
Er5Ge10Ir4
1.0
13.0124 0.0000 0.0000
0.0000 13.0124 0.0000
0.0000 0.0000 4.3272
Er Ge Ir
10 20 8
Cartesian
0.0000 0.0000 0.0000
1.5056 5.0006 2.1636
2.2637 8.7699 2.1636
4.2425 2.2637 2.1636
5.0006 11.5068 2.1636
6.5062 6.5062 0.0000
8.0118 1.5056 2.1636
8.7699 10.7488 2.1636
10.7488 4.2425 2.1636
11.5068 8.0118 2.1636
0.1173 10.9836 2.1636
0.8629 7.3692 0.0000
2.0288 0.1173 2.1636
2.1240 2.6036 0.0000
2.6036 10.8884 0.0000
3.9026 4.3822 0.0000
4.3822 9.1098 0.0000
4.4774 6.6235 2.1636
5.6433 0.8629 0.0000
6.3890 4.4774 2.1636
6.6235 8.5350 2.1636
7.3692 12.1495 0.0000
8.5350 6.3890 2.1636
8.6303 3.9026 0.0000
9.1098 8.6303 0.0000
10.4088 2.1240 0.0000
10.8884 10.4088 0.0000
10.9836 12.8952 2.1636
12.1495 5.6433 0.0000
12.8952 2.0288 2.1636
0.2726 9.8042 0.0000
3.2082 0.2726 0.0000
3.2980 6.7788 0.0000
6.2337 3.2980 0.0000
6.7788 9.7144 0.0000
9.7144 6.2337 0.0000
9.8042 12.7399 0.0000
12.7399 3.2082 0.0000
```